For NaTb2US5, a crystal structure in Alexandria, relaxed with PBE gives the theoretical PXRD pattern in this record (copper Kα).
Intensities are scaled so that the largest is 100.

Crystal structure
a b c (Å): 4.988 6.980 13.682
angles (deg): 90.00 90.00 90.00
Space group Immm (No. 71)
One atom of each set of equivalent atoms:
Na (0.000, 0.000, 0.000) [2 per cell]
Tb (0.000, 0.500, 0.202) [4 per cell]
U (0.000, 0.000, 0.500) [2 per cell]
S (0.000, 0.241, 0.347) [8 per cell]
S (0.000, 0.500, 0.000) [2 per cell]

Peak list (10 most intense, 15 to 90 degrees two-theta, in order of rising 2θ)
(1 1 2), 2θ = 25.52°, I = 100; (0 1 5), 2θ = 35.23°, I = 24; (2 0 0), 2θ = 36.01°, I = 20; (0 2 4), 2θ = 36.79°, I = 17; (1 2 3), 2θ = 37.11°, I = 40; (2 1 1), 2θ = 38.91°, I = 13; (1 3 2), 2θ = 44.99°, I = 23; (2 1 5), 2θ = 51.26°, I = 17; (0 4 0), 2θ = 52.43°, I = 19; (3 1 2), 2θ = 58.61°, I = 16